TbPrGa2: calculated powder diffractogram (Cu Ka), based on a structure optimized by DFT (PBE).

Cell and atoms:
a b c (Å): 3.660 3.660 7.293
angles (deg): 90.00 90.00 90.00
Atoms (fractional coordinates):
Tb  0.000  0.000  0.000
Pr  0.000  0.000  0.500
Ga  0.500  0.500  0.234
Ga  0.500  0.500  0.766

Peak list (10 most intense, 2θ = 10–90°, in order of rising 2θ)
| Position (°2θ) | I_rel |
| --- | --- |
| 24.3 | 15 |
| 34.7 | 100 |
| 42.8 | 5 |
| 49.8 | 12 |
| 50.0 | 6 |
| 62.2 | 24 |
| 62.3 | 12 |
| 73.3 | 7 |
| 83.5 | 11 |
| 83.9 | 5 |

=====

Re2MoAs: calculated powder diffractogram (Cu Ka), based on a structure optimized by DFT (PBE).

Cell and atoms:
a b c (Å): 4.827 4.827 4.625
angles (deg): 104.97 104.97 36.41
Atoms (fractional coordinates):
Re  0.000  0.000  0.000
Re  0.738  0.738  0.132
Mo  0.234  0.234  0.624
As  0.489  0.489  0.471

Peak list (10 most intense, 2θ = 10–90°, in order of rising 2θ)
| Position (°2θ) | I_rel |
| --- | --- |
| 20.0 | 34 |
| 35.9 | 15 |
| 39.0 | 100 |
| 40.1 | 34 |
| 40.5 | 22 |
| 40.9 | 50 |
| 43.8 | 78 |
| 61.5 | 15 |
| 69.8 | 16 |
| 76.5 | 16 |

=====

MgB12C3: calculated powder diffractogram (Cu Ka), based on a structure optimized by DFT (PBE).

Cell and atoms:
a b c (Å): 6.743 6.745 8.069
angles (deg): 109.08 108.59 98.55
Atoms (fractional coordinates):
Mg  0.000  0.000  0.000
Mg  0.446  0.555  0.498
B  0.028  0.418  0.950
B  0.033  0.666  0.708
B  0.089  0.910  0.412
B  0.111  0.587  0.207
B  0.164  0.109  0.670
B  0.201  0.937  0.792
B  0.207  0.892  0.234
B  0.217  0.362  0.838
B  0.332  0.758  0.731
B  0.357  0.644  0.911
B  0.381  0.756  0.291
B  0.400  0.011  0.493
B  0.454  0.954  0.991
B  0.481  0.463  0.993
B  0.554  0.721  0.168
B  0.616  0.249  0.591
B  0.691  0.170  0.090
B  0.726  0.309  0.824
B  0.752  0.281  0.324
B  0.774  0.438  0.551
B  0.805  0.771  0.337
B  0.861  0.583  0.449
B  0.880  0.328  0.048
B  0.908  0.035  0.495
C  0.094  0.548  0.845
C  0.304  0.931  0.626
C  0.376  0.859  0.126
C  0.634  0.326  0.973
C  0.772  0.190  0.473
C  0.992  0.648  0.344

Peak list (10 most intense, 2θ = 10–90°, in order of rising 2θ)
| Position (°2θ) | I_rel |
| --- | --- |
| 14.5 | 31 |
| 15.0 | 60 |
| 17.4 | 100 |
| 22.8 | 39 |
| 23.3 | 87 |
| 24.5 | 70 |
| 25.4 | 30 |
| 30.3 | 30 |
| 34.1 | 43 |
| 36.3 | 43 |

=====

CeSmDy6: calculated powder diffractogram (Cu Ka), based on a structure optimized by DFT (PBE).

Cell and atoms:
a b c (Å): 6.514 6.570 7.467
angles (deg): 115.10 115.68 90.03
Atoms (fractional coordinates):
Ce  0.000  0.000  0.000
Sm  0.500  0.000  0.000
Dy  0.232  0.913  0.463
Dy  0.249  0.499  0.000
Dy  0.260  0.441  0.520
Dy  0.740  0.559  0.480
Dy  0.751  0.501  0.000
Dy  0.768  0.087  0.537

Peak list (10 most intense, 2θ = 10–90°, in order of rising 2θ)
| Position (°2θ) | I_rel |
| --- | --- |
| 27.4 | 21 |
| 30.1 | 65 |
| 30.9 | 42 |
| 31.3 | 100 |
| 31.5 | 45 |
| 31.6 | 27 |
| 38.2 | 23 |
| 38.4 | 15 |
| 38.6 | 15 |
| 50.9 | 15 |

=====

Y12InNi5: calculated powder diffractogram (Cu Ka), based on a structure optimized by DFT (PBE).

Cell and atoms:
a b c (Å): 8.368 8.368 8.368
angles (deg): 111.42 109.90 107.12
Atoms (fractional coordinates):
Y  0.022  0.213  0.809
Y  0.183  0.294  0.477
Y  0.183  0.706  0.888
Y  0.322  0.018  0.695
Y  0.322  0.627  0.305
Y  0.404  0.213  0.191
Y  0.596  0.787  0.809
Y  0.678  0.373  0.695
Y  0.678  0.982  0.305
Y  0.817  0.294  0.112
Y  0.817  0.706  0.523
Y  0.978  0.787  0.191
In  0.500  0.500  0.000
Ni  0.000  0.000  0.000
Ni  0.122  0.622  0.500
Ni  0.366  0.000  0.366
Ni  0.634  0.000  0.634
Ni  0.878  0.378  0.500

Peak list (10 most intense, 2θ = 10–90°, in order of rising 2θ)
| Position (°2θ) | I_rel |
| --- | --- |
| 29.9 | 30 |
| 32.1 | 100 |
| 34.4 | 68 |
| 34.6 | 73 |
| 35.0 | 32 |
| 35.3 | 36 |
| 38.2 | 27 |
| 56.1 | 26 |
| 58.9 | 20 |
| 59.9 | 33 |

=====

Pr3HgI7: calculated powder diffractogram (Cu Ka), based on a structure optimized by DFT (PBE).

Cell and atoms:
a b c (Å): 8.759 8.759 7.313
angles (deg): 90.00 90.00 120.00
Atoms (fractional coordinates):
Pr  0.015  0.507  0.000
Pr  0.493  0.507  0.000
Pr  0.493  0.985  0.000
Hg  0.333  0.667  0.663
I  0.168  0.335  0.270
I  0.168  0.832  0.270
I  0.327  0.164  0.755
I  0.665  0.832  0.270
I  0.667  0.333  0.256
I  0.836  0.164  0.755
I  0.836  0.673  0.755

Peak list (10 most intense, 2θ = 10–90°, in order of rising 2θ)
| Position (°2θ) | I_rel |
| --- | --- |
| 11.7 | 11 |
| 26.5 | 100 |
| 34.1 | 42 |
| 41.2 | 32 |
| 44.2 | 14 |
| 49.7 | 17 |
| 54.5 | 11 |
| 66.5 | 14 |
| 66.6 | 9 |
| 70.6 | 9 |

=====

Li6Ca2Au3: calculated powder diffractogram (Cu Ka), based on a structure optimized by DFT (PBE).

Cell and atoms:
a b c (Å): 8.006 8.006 4.160
angles (deg): 90.00 90.00 120.00
Atoms (fractional coordinates):
Li  0.000  0.274  0.000
Li  0.000  0.794  0.500
Li  0.206  0.206  0.500
Li  0.274  0.000  0.000
Li  0.726  0.726  0.000
Li  0.794  0.000  0.500
Ca  0.333  0.667  0.500
Ca  0.667  0.333  0.500
Au  0.000  0.607  0.000
Au  0.393  0.393  0.000
Au  0.607  0.000  0.000

Peak list (10 most intense, 2θ = 10–90°, in order of rising 2θ)
| Position (°2θ) | I_rel |
| --- | --- |
| 12.8 | 26 |
| 21.4 | 34 |
| 22.2 | 83 |
| 31.0 | 100 |
| 33.7 | 28 |
| 39.0 | 19 |
| 40.7 | 23 |
| 47.3 | 25 |
| 49.4 | 21 |
| 52.4 | 29 |

=====

Dy3Mg2Sn3: calculated powder diffractogram (Cu Ka), based on a structure optimized by DFT (PBE).

Cell and atoms:
a b c (Å): 8.827 8.827 6.265
angles (deg): 90.00 90.00 120.00
Atoms (fractional coordinates):
Dy  0.000  0.255  0.250
Dy  0.000  0.745  0.750
Dy  0.255  0.000  0.250
Dy  0.255  0.255  0.750
Dy  0.745  0.000  0.750
Dy  0.745  0.745  0.250
Mg  0.333  0.667  0.000
Mg  0.333  0.667  0.500
Mg  0.667  0.333  0.000
Mg  0.667  0.333  0.500
Sn  0.000  0.390  0.750
Sn  0.000  0.610  0.250
Sn  0.390  0.000  0.750
Sn  0.390  0.390  0.250
Sn  0.610  0.000  0.250
Sn  0.610  0.610  0.750

Peak list (10 most intense, 2θ = 10–90°, in order of rising 2θ)
| Position (°2θ) | I_rel |
| --- | --- |
| 20.1 | 35 |
| 28.5 | 40 |
| 30.9 | 11 |
| 34.2 | 100 |
| 35.2 | 58 |
| 45.1 | 14 |
| 45.9 | 15 |
| 54.2 | 27 |
| 54.3 | 16 |
| 68.3 | 10 |

=====

InGa7Au3: calculated powder diffractogram (Cu Ka), based on a structure optimized by DFT (PBE).

Cell and atoms:
a b c (Å): 8.619 8.619 8.619
angles (deg): 58.03 58.03 58.03
Atoms (fractional coordinates):
In  0.000  0.000  0.000
In  0.500  0.500  0.500
Ga  0.072  0.856  0.672
Ga  0.144  0.328  0.928
Ga  0.172  0.356  0.572
Ga  0.250  0.250  0.250
Ga  0.328  0.928  0.144
Ga  0.356  0.572  0.172
Ga  0.428  0.828  0.644
Ga  0.572  0.172  0.356
Ga  0.644  0.428  0.828
Ga  0.672  0.072  0.856
Ga  0.750  0.750  0.750
Ga  0.828  0.644  0.428
Ga  0.856  0.672  0.072
Ga  0.928  0.144  0.328
Au  0.065  0.750  0.435
Au  0.250  0.565  0.935
Au  0.435  0.065  0.750
Au  0.565  0.935  0.250
Au  0.750  0.435  0.065
Au  0.935  0.250  0.565

Peak list (10 most intense, 2θ = 10–90°, in order of rising 2θ)
| Position (°2θ) | I_rel |
| --- | --- |
| 24.7 | 100 |
| 33.0 | 70 |
| 35.8 | 26 |
| 36.9 | 29 |
| 37.3 | 51 |
| 43.8 | 69 |
| 45.2 | 59 |
| 45.4 | 41 |
| 60.0 | 26 |
| 65.0 | 32 |

=====

Y2Ho4Er: calculated powder diffractogram (Cu Ka), based on a structure optimized by DFT (PBE).

Cell and atoms:
a b c (Å): 3.595 3.595 19.850
angles (deg): 95.18 95.18 60.00
Atoms (fractional coordinates):
Y  0.000  0.000  0.000
Y  0.095  0.095  0.288
Ho  0.285  0.285  0.856
Ho  0.381  0.381  0.144
Ho  0.809  0.809  0.432
Ho  0.903  0.903  0.715
Er  0.189  0.189  0.573

Peak list (10 most intense, 2θ = 10–90°, in order of rising 2θ)
| Position (°2θ) | I_rel |
| --- | --- |
| 28.7 | 27 |
| 28.8 | 27 |
| 31.7 | 55 |
| 32.5 | 100 |
| 33.2 | 98 |
| 50.8 | 45 |
| 56.5 | 20 |
| 58.0 | 21 |
| 61.1 | 51 |
| 88.0 | 19 |

=====

NdZrIr: calculated powder diffractogram (Cu Ka), based on a structure optimized by DFT (PBE).

Cell and atoms:
a b c (Å): 4.669 4.669 6.779
angles (deg): 90.05 90.05 90.01
Atoms (fractional coordinates):
Nd  0.250  0.250  0.130
Nd  0.750  0.750  0.870
Zr  0.250  0.750  0.500
Zr  0.750  0.250  0.500
Ir  0.250  0.250  0.704
Ir  0.750  0.750  0.296

Peak list (10 most intense, 2θ = 10–90°, in order of rising 2θ)
| Position (°2θ) | I_rel |
| --- | --- |
| 23.1 | 22 |
| 27.0 | 75 |
| 30.1 | 39 |
| 32.6 | 100 |
| 38.0 | 72 |
| 38.6 | 94 |
| 44.5 | 32 |
| 51.4 | 56 |
| 55.7 | 32 |
| 60.4 | 26 |

=====

V5GaH: calculated powder diffractogram (Cu Ka), based on a structure optimized by DFT (PBE).

Cell and atoms:
a b c (Å): 5.057 5.057 8.596
angles (deg): 114.92 114.92 61.79
Atoms (fractional coordinates):
V  0.008  0.992  0.750
V  0.034  0.624  0.418
V  0.123  0.526  0.913
V  0.376  0.966  0.082
V  0.474  0.877  0.587
V  0.526  0.123  0.413
V  0.624  0.034  0.918
V  0.877  0.474  0.087
V  0.966  0.376  0.582
V  0.992  0.008  0.250
Ga  0.490  0.510  0.250
Ga  0.510  0.490  0.750
H  0.000  0.000  0.000
H  0.000  0.000  0.500

Peak list (10 most intense, 2θ = 10–90°, in order of rising 2θ)
| Position (°2θ) | I_rel |
| --- | --- |
| 40.5 | 23 |
| 41.4 | 70 |
| 41.6 | 68 |
| 42.0 | 68 |
| 42.2 | 61 |
| 42.4 | 100 |
| 61.0 | 17 |
| 61.2 | 20 |
| 76.3 | 28 |
| 76.6 | 20 |